[1]
For RbLaZnO3, a crystal structure in Alexandria, relaxed with GGA-PBE gives the computed powder diffraction line list in this record (copper Kα).
Lines closer than 0.1° are merged.

Peak list (8 most intense, 5 to 70 degrees two-theta, low angle first)
13.83°, I 100; 26.35°, I 33; 27.07°, I 25; 27.86°, I 60; 32.70°, I 48; 32.97°, I 81; 33.21°, I 65; 48.93°, I 21

Structural model:
```
data_RbLaZnO3
_chemical_formula_sum 'Rb2 La2 Zn2 O6'
_cell_length_a 8.140
_cell_length_b 3.723
_cell_length_c 8.283
_cell_angle_alpha 90.00
_cell_angle_beta 102.54
_cell_angle_gamma 90.00
_space_group_name_H-M_alt 'P 1'
_space_group_IT_number 1
loop_
_space_group_symop_operation_xyz
'x,y,z'
loop_
_atom_site_label
_atom_site_type_symbol
_atom_site_fract_x
_atom_site_fract_y
_atom_site_fract_z
Rb1 Rb 0.180 0.250 0.202
Rb2 Rb 0.820 0.750 0.798
La1 La 0.353 0.750 0.841
La2 La 0.647 0.250 0.159
Zn1 Zn 0.081 0.250 0.609
Zn2 Zn 0.919 0.750 0.391
O1 O 0.153 0.750 0.532
O2 O 0.156 0.250 0.846
O3 O 0.452 0.750 0.129
O4 O 0.548 0.250 0.871
O5 O 0.844 0.750 0.154
O6 O 0.847 0.250 0.468
```

=====

[2]
For FeP4, a crystal structure in Alexandria, relaxed with GGA-PBE gives the computed powder diffraction line list in this record (copper Kα).
Lines closer than 0.1° are merged.

Peak list (8 most intense, 5 to 70 degrees two-theta, low angle first)
21.00°, I 35; 32.27°, I 58; 32.38°, I 100; 39.64°, I 21; 45.19°, I 18; 50.31°, I 17; 52.41°, I 50; 52.74°, I 20

Structural model:
```
data_FeP4
_chemical_formula_sum 'Fe4 P16'
_cell_length_a 5.788
_cell_length_b 5.788
_cell_length_c 11.098
_cell_angle_alpha 90.41
_cell_angle_beta 90.41
_cell_angle_gamma 128.20
_space_group_name_H-M_alt 'P 1'
_space_group_IT_number 1
loop_
_space_group_symop_operation_xyz
'x,y,z'
loop_
_atom_site_label
_atom_site_type_symbol
_atom_site_fract_x
_atom_site_fract_y
_atom_site_fract_z
Fe1 Fe 0.000 0.500 0.500
Fe2 Fe 0.075 0.925 0.750
Fe3 Fe 0.500 0.000 0.000
Fe4 Fe 0.925 0.075 0.250
P1 P 0.055 0.869 0.950
P2 P 0.067 0.530 0.293
P3 P 0.131 0.945 0.550
P4 P 0.226 0.371 0.784
P5 P 0.336 0.543 0.976
P6 P 0.371 0.226 0.284
P7 P 0.457 0.664 0.524
P8 P 0.470 0.933 0.207
P9 P 0.530 0.067 0.793
P10 P 0.543 0.336 0.476
P11 P 0.629 0.774 0.716
P12 P 0.664 0.457 0.024
P13 P 0.774 0.629 0.216
P14 P 0.869 0.055 0.450
P15 P 0.933 0.470 0.707
P16 P 0.945 0.131 0.050
```

=====

[3]
For Ac2Dy4Sn3O2, a crystal structure in Alexandria, relaxed with GGA-PBE gives the computed powder diffraction line list in this record (copper Kα).
Lines closer than 0.1° are merged.

Peak list (8 most intense, 5 to 70 degrees two-theta, low angle first)
27.25°, I 22; 27.43°, I 56; 30.43°, I 30; 33.68°, I 100; 37.90°, I 58; 54.68°, I 20; 62.20°, I 21; 65.78°, I 30

Structural model:
```
data_Ac2Dy4Sn3O2
_chemical_formula_sum 'Ac2 Dy4 Sn3 O2'
_cell_length_a 13.513
_cell_length_b 13.513
_cell_length_c 13.513
_cell_angle_alpha 159.76
_cell_angle_beta 159.76
_cell_angle_gamma 28.77
_space_group_name_H-M_alt 'P 1'
_space_group_IT_number 1
loop_
_space_group_symop_operation_xyz
'x,y,z'
loop_
_atom_site_label
_atom_site_type_symbol
_atom_site_fract_x
_atom_site_fract_y
_atom_site_fract_z
Ac1 Ac 0.195 0.195 0.000
Ac2 Ac 0.805 0.805 0.000
Dy1 Dy 0.079 0.579 0.500
Dy2 Dy 0.421 0.921 0.500
Dy3 Dy 0.579 0.079 0.500
Dy4 Dy 0.921 0.421 0.500
Sn1 Sn 0.333 0.333 0.000
Sn2 Sn 0.500 0.500 0.000
Sn3 Sn 0.667 0.667 0.000
O1 O 0.089 0.089 0.000
O2 O 0.911 0.911 0.000
```

=====

[4]
For CeTePdBr, a crystal structure in Alexandria, relaxed with GGA-PBE gives the computed powder diffraction line list in this record (copper Kα).
Lines closer than 0.1° are merged.

Peak list (8 most intense, 5 to 70 degrees two-theta, low angle first)
6.03°, I 55; 12.08°, I 58; 24.29°, I 21; 30.70°, I 100; 35.17°, I 22; 40.19°, I 78; 51.41°, I 29; 67.20°, I 23

Structural model:
```
data_CeTePdBr
_chemical_formula_sum 'Ce2 Te2 Pd2 Br2'
_cell_length_a 14.886
_cell_length_b 14.886
_cell_length_c 14.886
_cell_angle_alpha 17.34
_cell_angle_beta 17.34
_cell_angle_gamma 17.34
_space_group_name_H-M_alt 'P 1'
_space_group_IT_number 1
loop_
_space_group_symop_operation_xyz
'x,y,z'
loop_
_atom_site_label
_atom_site_type_symbol
_atom_site_fract_x
_atom_site_fract_y
_atom_site_fract_z
Ce1 Ce 0.088 0.088 0.088
Ce2 Ce 0.912 0.912 0.912
Te1 Te 0.294 0.294 0.294
Te2 Te 0.706 0.706 0.706
Pd1 Pd 0.387 0.387 0.387
Pd2 Pd 0.613 0.613 0.613
Br1 Br 0.205 0.205 0.205
Br2 Br 0.795 0.795 0.795
```

=====

[5]
For Tb7CeSm4, a crystal structure in Alexandria, relaxed with GGA-PBE gives the computed powder diffraction line list in this record (copper Kα).
Lines closer than 0.1° are merged.

Peak list (8 most intense, 5 to 70 degrees two-theta, low angle first)
30.18°, I 65; 30.88°, I 73; 31.41°, I 100; 31.56°, I 95; 31.95°, I 98; 32.15°, I 64; 32.37°, I 36; 46.56°, I 25

Structural model:
```
data_Tb7CeSm4
_chemical_formula_sum 'Tb7 Ce1 Sm4'
_cell_length_a 6.561
_cell_length_b 6.849
_cell_length_c 9.129
_cell_angle_alpha 85.38
_cell_angle_beta 76.97
_cell_angle_gamma 82.16
_space_group_name_H-M_alt 'P 1'
_space_group_IT_number 1
loop_
_space_group_symop_operation_xyz
'x,y,z'
loop_
_atom_site_label
_atom_site_type_symbol
_atom_site_fract_x
_atom_site_fract_y
_atom_site_fract_z
Tb1 Tb 0.000 0.000 0.000
Tb2 Tb 0.190 0.604 0.386
Tb3 Tb 0.320 0.195 0.639
Tb4 Tb 0.489 0.748 0.052
Tb5 Tb 0.511 0.252 0.948
Tb6 Tb 0.680 0.805 0.361
Tb7 Tb 0.810 0.396 0.614
Ce1 Ce 0.000 0.500 0.000
Sm1 Sm 0.162 0.113 0.311
Sm2 Sm 0.357 0.689 0.719
Sm3 Sm 0.643 0.311 0.281
Sm4 Sm 0.838 0.887 0.689
```

=====

[6]
For Sr3CdGe4, a crystal structure in Alexandria, relaxed with GGA-PBE gives the computed powder diffraction line list in this record (copper Kα).
Lines closer than 0.1° are merged.

Peak list (8 most intense, 5 to 70 degrees two-theta, low angle first)
19.77°, I 29; 26.10°, I 100; 32.07°, I 55; 32.90°, I 35; 35.81°, I 40; 38.20°, I 37; 38.63°, I 37; 66.32°, I 30

Structural model:
```
data_Sr3CdGe4
_chemical_formula_sum 'Sr3 Cd1 Ge4'
_cell_length_a 9.248
_cell_length_b 9.248
_cell_length_c 9.248
_cell_angle_alpha 150.80
_cell_angle_beta 140.45
_cell_angle_gamma 49.91
_space_group_name_H-M_alt 'P 1'
_space_group_IT_number 1
loop_
_space_group_symop_operation_xyz
'x,y,z'
loop_
_atom_site_label
_atom_site_type_symbol
_atom_site_fract_x
_atom_site_fract_y
_atom_site_fract_z
Sr1 Sr 0.000 0.000 0.000
Sr2 Sr 0.308 0.808 0.500
Sr3 Sr 0.692 0.192 0.500
Cd1 Cd 0.500 0.500 0.000
Ge1 Ge 0.069 0.377 0.692
Ge2 Ge 0.314 0.623 0.692
Ge3 Ge 0.686 0.377 0.308
Ge4 Ge 0.931 0.623 0.308
```

=====

[7]
For La7Ga2Co2, a crystal structure in Alexandria, relaxed with GGA-PBE gives the computed powder diffraction line list in this record (copper Kα).
Lines closer than 0.1° are merged.

Peak list (8 most intense, 5 to 70 degrees two-theta, low angle first)
27.20°, I 100; 28.88°, I 63; 29.88°, I 26; 31.21°, I 73; 36.56°, I 50; 37.57°, I 95; 53.13°, I 21; 59.82°, I 39

Structural model:
```
data_La7Ga2Co2
_chemical_formula_sum 'La7 Ga2 Co2'
_cell_length_a 6.988
_cell_length_b 6.988
_cell_length_c 7.010
_cell_angle_alpha 90.00
_cell_angle_beta 90.00
_cell_angle_gamma 110.22
_space_group_name_H-M_alt 'P 1'
_space_group_IT_number 1
loop_
_space_group_symop_operation_xyz
'x,y,z'
loop_
_atom_site_label
_atom_site_type_symbol
_atom_site_fract_x
_atom_site_fract_y
_atom_site_fract_z
La1 La 0.000 0.000 0.000
La2 La 0.000 0.500 0.254
La3 La 0.000 0.500 0.746
La4 La 0.500 0.000 0.254
La5 La 0.500 0.000 0.746
La6 La 0.500 0.500 0.257
La7 La 0.500 0.500 0.743
Ga1 Ga 0.157 0.157 0.500
Ga2 Ga 0.843 0.843 0.500
Co1 Co 0.298 0.702 0.000
Co2 Co 0.702 0.298 0.000
```

=====

[8]
For Mg3NpRh4, a crystal structure in Alexandria, relaxed with GGA-PBE gives the computed powder diffraction line list in this record (copper Kα).
Lines closer than 0.1° are merged.

Peak list (8 most intense, 5 to 70 degrees two-theta, low angle first)
10.08°, I 50; 19.83°, I 11; 22.29°, I 20; 28.50°, I 11; 39.36°, I 100; 40.28°, I 24; 41.17°, I 22; 58.96°, I 16

Structural model:
```
data_Mg3NpRh4
_chemical_formula_sum 'Mg3 Np1 Rh4'
_cell_length_a 3.353
_cell_length_b 4.478
_cell_length_c 8.771
_cell_angle_alpha 90.00
_cell_angle_beta 90.00
_cell_angle_gamma 90.00
_space_group_name_H-M_alt 'P 1'
_space_group_IT_number 1
loop_
_space_group_symop_operation_xyz
'x,y,z'
loop_
_atom_site_label
_atom_site_type_symbol
_atom_site_fract_x
_atom_site_fract_y
_atom_site_fract_z
Mg1 Mg 0.000 0.000 0.000
Mg2 Mg 0.000 0.500 0.235
Mg3 Mg 0.000 0.500 0.765
Np1 Np 0.000 0.000 0.500
Rh1 Rh 0.500 0.000 0.259
Rh2 Rh 0.500 0.000 0.741
Rh3 Rh 0.500 0.500 0.000
Rh4 Rh 0.500 0.500 0.500
```

=====

[9]
For TbY8Ho6, a crystal structure in Alexandria, relaxed with GGA-PBE gives the computed powder diffraction line list in this record (copper Kα).
Lines closer than 0.1° are merged.

Peak list (8 most intense, 5 to 70 degrees two-theta, low angle first)
14.99°, I 26; 29.88°, I 100; 30.25°, I 30; 31.95°, I 22; 34.75°, I 53; 35.46°, I 37; 35.57°, I 20; 50.20°, I 16

Structural model:
```
data_TbY8Ho6
_chemical_formula_sum 'Tb1 Y8 Ho6'
_cell_length_a 8.143
_cell_length_b 8.143
_cell_length_c 8.143
_cell_angle_alpha 73.15
_cell_angle_beta 73.15
_cell_angle_gamma 73.15
_space_group_name_H-M_alt 'P 1'
_space_group_IT_number 1
loop_
_space_group_symop_operation_xyz
'x,y,z'
loop_
_atom_site_label
_atom_site_type_symbol
_atom_site_fract_x
_atom_site_fract_y
_atom_site_fract_z
Tb1 Tb 0.000 0.000 0.000
Y1 Y 0.071 0.771 0.644
Y2 Y 0.229 0.356 0.929
Y3 Y 0.356 0.929 0.229
Y4 Y 0.412 0.412 0.412
Y5 Y 0.588 0.588 0.588
Y6 Y 0.644 0.071 0.771
Y7 Y 0.771 0.644 0.071
Y8 Y 0.929 0.229 0.356
Ho1 Ho 0.066 0.612 0.287
Ho2 Ho 0.287 0.066 0.612
Ho3 Ho 0.388 0.713 0.934
Ho4 Ho 0.612 0.287 0.066
Ho5 Ho 0.713 0.934 0.388
Ho6 Ho 0.934 0.388 0.713
```

=====

[10]
For NdAl11, a crystal structure in Alexandria, relaxed with GGA-PBE gives the computed powder diffraction line list in this record (copper Kα).
Lines closer than 0.1° are merged.

Peak list (8 most intense, 5 to 70 degrees two-theta, low angle first)
14.61°, I 25; 21.80°, I 35; 27.10°, I 32; 31.77°, I 43; 35.74°, I 100; 36.47°, I 53; 38.08°, I 25; 65.16°, I 25

Structural model:
```
data_NdAl11
_chemical_formula_sum 'Nd2 Al22'
_cell_length_a 8.594
_cell_length_b 8.594
_cell_length_c 8.594
_cell_angle_alpha 100.27
_cell_angle_beta 100.27
_cell_angle_gamma 130.04
_space_group_name_H-M_alt 'P 1'
_space_group_IT_number 1
loop_
_space_group_symop_operation_xyz
'x,y,z'
loop_
_atom_site_label
_atom_site_type_symbol
_atom_site_fract_x
_atom_site_fract_y
_atom_site_fract_z
Nd1 Nd 0.375 0.625 0.750
Nd2 Nd 0.625 0.375 0.250
Al1 Al 0.000 0.000 0.000
Al2 Al 0.000 0.000 0.500
Al3 Al 0.000 0.500 0.000
Al4 Al 0.125 0.875 0.250
Al5 Al 0.136 0.558 0.335
Al6 Al 0.136 0.801 0.578
Al7 Al 0.199 0.277 0.335
Al8 Al 0.199 0.864 0.922
Al9 Al 0.277 0.199 0.835
Al10 Al 0.277 0.442 0.078
Al11 Al 0.442 0.277 0.578
Al12 Al 0.442 0.864 0.165
Al13 Al 0.500 0.000 0.500
Al14 Al 0.558 0.136 0.835
Al15 Al 0.558 0.723 0.422
Al16 Al 0.723 0.558 0.922
Al17 Al 0.723 0.801 0.165
Al18 Al 0.801 0.136 0.078
Al19 Al 0.801 0.723 0.665
Al20 Al 0.864 0.199 0.422
Al21 Al 0.864 0.442 0.665
Al22 Al 0.875 0.125 0.750
```

=====

[11]
For NbTl2Br4F2, a crystal structure in Alexandria, relaxed with GGA-PBE gives the computed powder diffraction line list in this record (copper Kα).
Lines closer than 0.1° are merged.

Peak list (8 most intense, 5 to 70 degrees two-theta, low angle first)
19.95°, I 19; 20.77°, I 73; 25.41°, I 55; 30.22°, I 56; 31.06°, I 100; 32.14°, I 58; 34.91°, I 19; 47.22°, I 23

Structural model:
```
data_NbTl2Br4F2
_chemical_formula_sum 'Nb1 Tl2 Br4 F2'
_cell_length_a 7.061
_cell_length_b 7.061
_cell_length_c 5.937
_cell_angle_alpha 93.49
_cell_angle_beta 93.49
_cell_angle_gamma 66.04
_space_group_name_H-M_alt 'P 1'
_space_group_IT_number 1
loop_
_space_group_symop_operation_xyz
'x,y,z'
loop_
_atom_site_label
_atom_site_type_symbol
_atom_site_fract_x
_atom_site_fract_y
_atom_site_fract_z
Nb1 Nb 0.000 0.000 0.000
Tl1 Tl 0.342 0.342 0.746
Tl2 Tl 0.658 0.658 0.254
Br1 Br 0.139 0.646 0.210
Br2 Br 0.354 0.861 0.790
Br3 Br 0.646 0.139 0.210
Br4 Br 0.861 0.354 0.790
F1 F 0.120 0.120 0.237
F2 F 0.880 0.880 0.763
```

=====

[12]
For U4AsP4, a crystal structure in Alexandria, relaxed with GGA-PBE gives the computed powder diffraction line list in this record (copper Kα).
Lines closer than 0.1° are merged.

Peak list (8 most intense, 5 to 70 degrees two-theta, low angle first)
18.93°, I 28; 27.64°, I 100; 31.80°, I 73; 32.47°, I 35; 45.59°, I 27; 46.08°, I 53; 54.15°, I 28; 57.08°, I 28

Structural model:
```
data_U4AsP4
_chemical_formula_sum 'U4 As1 P4'
_cell_length_a 6.870
_cell_length_b 6.870
_cell_length_c 6.870
_cell_angle_alpha 99.27
_cell_angle_beta 99.27
_cell_angle_gamma 132.67
_space_group_name_H-M_alt 'P 1'
_space_group_IT_number 1
loop_
_space_group_symop_operation_xyz
'x,y,z'
loop_
_atom_site_label
_atom_site_type_symbol
_atom_site_fract_x
_atom_site_fract_y
_atom_site_fract_z
U1 U 0.108 0.698 0.806
U2 U 0.302 0.108 0.410
U3 U 0.698 0.892 0.590
U4 U 0.892 0.302 0.194
As1 As 0.000 0.000 0.000
P1 P 0.188 0.395 0.584
P2 P 0.395 0.812 0.207
P3 P 0.605 0.188 0.793
P4 P 0.812 0.605 0.416
```

=====

[13]
For K2LiCu2Cl7, a crystal structure in Alexandria, relaxed with GGA-PBE gives the computed powder diffraction line list in this record (copper Kα).
Lines closer than 0.1° are merged.

Peak list (8 most intense, 5 to 70 degrees two-theta, low angle first)
14.38°, I 62; 18.65°, I 99; 25.98°, I 42; 34.06°, I 33; 36.47°, I 31; 37.08°, I 100; 52.99°, I 37; 53.44°, I 31

Structural model:
```
data_K2LiCu2Cl7
_chemical_formula_sum 'K2 Li1 Cu2 Cl7'
_cell_length_a 4.850
_cell_length_b 4.850
_cell_length_c 12.786
_cell_angle_alpha 100.92
_cell_angle_beta 100.92
_cell_angle_gamma 90.01
_space_group_name_H-M_alt 'P 1'
_space_group_IT_number 1
loop_
_space_group_symop_operation_xyz
'x,y,z'
loop_
_atom_site_label
_atom_site_type_symbol
_atom_site_fract_x
_atom_site_fract_y
_atom_site_fract_z
K1 K 0.179 0.179 0.357
K2 K 0.821 0.821 0.643
Li1 Li 0.000 0.000 0.000
Cu1 Cu 0.404 0.404 0.809
Cu2 Cu 0.596 0.596 0.191
Cl1 Cl 0.089 0.590 0.177
Cl2 Cl 0.307 0.307 0.615
Cl3 Cl 0.410 0.911 0.823
Cl4 Cl 0.500 0.500 0.000
Cl5 Cl 0.590 0.089 0.177
Cl6 Cl 0.693 0.693 0.385
Cl7 Cl 0.911 0.410 0.823
```